Structure and theoretical XRD peak list of HfSiW (a DFT-relaxed cell (GGA-PBE, the Materials Project); Cu Kα (weighted mean of Kα1 and Kα2)).
No peak broadening, texture or thermal motion is included.

Atomic structure:
a = 8.544 Å, b = 5.233 Å, c = 5.233 Å
α = 60.99°, β = 90.00°, γ = 90.00°
Atoms (fractional coordinates):
Hf: 0.185 0.000 0.000
Hf: 0.312 0.666 0.666
Hf: 0.688 0.666 0.666
Hf: 0.815 0.000 0.000
Si: 0.000 0.513 0.976
Si: 0.000 0.976 0.513
Si: 0.253 0.341 0.341
Si: 0.747 0.341 0.341
W: 0.000 0.491 0.491
W: 0.500 0.167 0.167
W: 0.500 0.167 0.676
W: 0.500 0.676 0.167

The 6 most intense peaks (2θ = 10–90°), in order of rising 2θ:
| Position (°2θ) | Rel. int. |
| --- | --- |
| 10.35 | 55 |
| 37.19 | 100 |
| 39.99 | 36 |
| 40.43 | 84 |
| 40.83 | 88 |
| 41.42 | 36 |